Record 1
For TbAl2Fe9, a structure optimized by DFT (GGA-PBE) gives the computed X-ray diffraction stick pattern in this record (a wavelength of 1.5418 Å).

The 6 most intense peaks (10° ≤ 2θ ≤ 90°), low angle first:
d 3.597, I 394, (1 1 1)
d 2.428, I 387, (2 2 1)
d 2.233, I 1000, (3 1 1)
d 2.008, I 390, (2 0 2)
d 1.955, I 415, (4 1 0)
d 1.949, I 444, (2 1 2)

Crystal structure
```
data_TbAl2Fe9
_chemical_formula_sum 'Tb2 Al4 Fe18'
_symmetry_space_group_name_H-M 'P 4/m b m'
_symmetry_Int_Tables_number 127
_symmetry_space_group_name_Hall '-P 4 2ab'
_cell_length_a 8.062
_cell_length_b 8.062
_cell_length_c 4.632
_cell_angle_alpha 90.00
_cell_angle_beta 90.00
_cell_angle_gamma 90.00
loop_
_atom_site_label
_atom_site_fract_x
_atom_site_fract_y
_atom_site_fract_z
_atom_site_occupancy
Tb1 0.000 0.000 0.000 1
Al1 0.120 0.380 0.000 1
Fe1 0.000 0.500 0.500 1
Fe2 0.067 0.212 0.500 1
Fe3 0.176 0.676 0.232 1
```


Record 2
For Au3C5, a structure optimized by DFT (GGA-PBE) gives the computed X-ray diffraction stick pattern in this record (a wavelength of 1.5418 Å).

The 6 most intense peaks (10° ≤ 2θ ≤ 90°), low angle first:
d 5.005, I 792, (2 0 -1)
d 3.954, I 1000, (1 1 1)
d 3.467, I 695, (2 0 1)
d 3.295, I 825, (2 2 0)
d 2.469, I 688, (1 3 -1)
d 2.404, I 550, (4 2 -1)

Crystal structure
```
data_Au3C5
_chemical_formula_sum 'Au12 C20'
_symmetry_space_group_name_H-M 'C 1 m 1'
_symmetry_Int_Tables_number 8
_symmetry_space_group_name_Hall 'C -2y'
_cell_length_a 12.073
_cell_length_b 8.110
_cell_length_c 6.146
_cell_angle_alpha 90.00
_cell_angle_beta 110.51
_cell_angle_gamma 90.00
loop_
_atom_site_label
_atom_site_fract_x
_atom_site_fract_y
_atom_site_fract_z
_atom_site_occupancy
Au1 0.000 0.000 0.000 1
Au2 0.025 0.500 0.290 1
Au3 0.257 0.181 0.674 1
Au4 0.373 0.302 0.191 1
C1 0.017 0.191 0.796 1
C2 0.090 0.221 0.657 1
C3 0.156 0.500 0.155 1
C4 0.254 0.500 0.119 1
C5 0.422 0.204 0.670 1
C6 0.486 0.192 0.496 1
```


Record 3
For Ba2InIr3O12, a structure optimized by DFT (GGA-PBE) gives the computed X-ray diffraction stick pattern in this record (a wavelength of 1.5418 Å).

The 6 most intense peaks (10° ≤ 2θ ≤ 90°), low angle first:
d 5.744, I 417, (0 0 3)
d 3.086, I 1000, (0 2 1)
d 3.063, I 897, (1 1 3)
d 3.021, I 566, (0 1 5)
d 2.947, I 937, (2 0 2)
d 1.811, I 566, (2 2 0)

Crystal structure
```
data_Ba2InIr3O12
_chemical_formula_sum 'Ba6 In3 Ir9 O36'
_symmetry_space_group_name_H-M 'R -3 m'
_symmetry_Int_Tables_number 166
_symmetry_space_group_name_Hall '-R 3 2"'
_cell_length_a 7.2429
_cell_length_b 7.2429
_cell_length_c 17.2323
_cell_angle_alpha 90.00
_cell_angle_beta 90.00
_cell_angle_gamma 120.00
loop_
_atom_site_label
_atom_site_fract_x
_atom_site_fract_y
_atom_site_fract_z
_atom_site_occupancy
Ba1 0.0000 0.0000 0.1133 1
In1 0.0000 0.0000 0.5000 1
Ir1 0.0000 0.5000 0.0000 1
O1 0.0149 0.5075 0.1113 1
O2 0.0494 0.5247 0.3378 1
```


Record 4
For SmTaIr, a structure optimized by DFT (GGA-PBE) gives the computed X-ray diffraction stick pattern in this record (a wavelength of 1.5418 Å).

The 6 most intense peaks (10° ≤ 2θ ≤ 90°), low angle first:
d 6.703, I 587, (0 0 1)
d 2.897, I 635, (1 1 1)
d 2.697, I 957, (1 0 2)
d 2.319, I 849, (1 1 2)
d 2.271, I 1000, (2 0 0)
d 1.737, I 524, (2 1 2)

Crystal structure
```
data_SmTaIr
_chemical_formula_sum 'Sm2 Ta2 Ir2'
_symmetry_space_group_name_H-M 'P 4/n m m'
_symmetry_Int_Tables_number 129
_cell_length_a 4.543
_cell_length_b 4.543
_cell_length_c 6.703
_cell_angle_alpha 90.00
_cell_angle_beta 90.00
_cell_angle_gamma 90.00
loop_
_symmetry_equiv_pos_as_xyz
'x,y,z'
'-x,-y,-z'
'-y+1/2,x,z'
'y+1/2,-x,-z'
'-x+1/2,-y+1/2,z'
'x+1/2,y+1/2,-z'
'y,-x+1/2,z'
'-y,x+1/2,-z'
'x+1/2,-y,-z'
'-x+1/2,y,z'
'-y,-x,-z'
'y,x,z'
'-x,y+1/2,-z'
'x,-y+1/2,z'
'y+1/2,x+1/2,-z'
'-y+1/2,-x+1/2,z'
loop_
_atom_site_label
_atom_site_fract_x
_atom_site_fract_y
_atom_site_fract_z
_atom_site_occupancy
Sm1 0.250 0.250 0.132 1
Ta1 0.250 0.750 0.500 1
Ir1 0.250 0.250 0.688 1
```


Record 5
For Te3Se2, a structure optimized by DFT (GGA-PBE) gives the computed X-ray diffraction stick pattern in this record (a wavelength of 1.5418 Å).

The 6 most intense peaks (10° ≤ 2θ ≤ 90°), low angle first:
d 4.252, I 594, (1 3 1)
d 3.519, I 849, (2 4 0)
d 2.960, I 1000, (2 0 2)
d 2.817, I 431, (2 2 2)
d 2.306, I 397, (0 6 2)
d 1.956, I 545, (4 4 2)

Crystal structure
```
data_Te3Se2
_chemical_formula_sum 'Te24 Se16'
_symmetry_space_group_name_H-M 'F d d 2'
_symmetry_Int_Tables_number 43
_symmetry_space_group_name_Hall 'F 2 -2d'
_cell_length_a 10.981
_cell_length_b 18.339
_cell_length_c 7.028
_cell_angle_alpha 90.00
_cell_angle_beta 90.00
_cell_angle_gamma 90.00
loop_
_atom_site_label
_atom_site_fract_x
_atom_site_fract_y
_atom_site_fract_z
_atom_site_occupancy
Te1 0.000 0.000 0.000 1
Te2 0.077 0.311 0.974 1
Se1 0.047 0.304 0.481 1
```


Record 6
For Tm4Ir, a structure optimized by DFT (GGA-PBE) gives the computed X-ray diffraction stick pattern in this record (a wavelength of 1.5418 Å).

The 6 most intense peaks (10° ≤ 2θ ≤ 90°), low angle first:
d 4.274, I 308, (2 0 0)
d 2.864, I 1000, (2 0 2)
d 2.673, I 759, (3 0 1)
d 2.463, I 514, (1 0 3)
d 2.266, I 495, (3 2 1)
d 2.214, I 357, (3 1 2)

Crystal structure
```
data_Tm4Ir
_chemical_formula_sum 'Tm16 Ir4'
_symmetry_space_group_name_H-M 'I -4 2 d'
_symmetry_Int_Tables_number 122
_symmetry_space_group_name_Hall 'I -4 2bw'
_cell_length_a 8.547
_cell_length_b 8.547
_cell_length_c 7.718
_cell_angle_alpha 90.00
_cell_angle_beta 90.00
_cell_angle_gamma 90.00
loop_
_atom_site_label
_atom_site_fract_x
_atom_site_fract_y
_atom_site_fract_z
_atom_site_occupancy
Tm1 0.030 0.196 0.334 1
Ir1 0.000 0.000 0.000 1
```